Structure and computed X-ray powder pattern of CePm2PrY5 (a cell relaxed with PBE; Cu Kα (weighted mean of Kα1 and Kα2)).
Neutral-atom scattering factors, no anomalous dispersion.

Structure:
Lattice parameters (Å, degrees): 8.7382 8.7382 7.9920 90.00 90.00 90.00
Space group P4/mbm (No. 127)
Unique sites:
Ce1 0.0000 0.5000 0.0000 (multiplicity 2)
Pm1 0.1182 0.3818 0.5000 (multiplicity 4)
Pr1 0.0000 0.0000 0.0000 (multiplicity 2)
Y1 0.0000 0.0000 0.5000 (multiplicity 2)
Y2 0.2063 0.7063 0.2287 (multiplicity 8)

Peak list (10 most intense, 2θ = 10–90°, low angle first)
- 25.37°, rel. 32, (2 1 1)
- 28.90°, rel. 48, (2 2 0)
- 30.31°, rel. 100, (2 0 2)
- 32.03°, rel. 50, (2 1 2)
- 32.40°, rel. 15, (3 1 0)
- 37.10°, rel. 16, (3 2 0)
- 42.92°, rel. 20, (4 0 1)
- 45.39°, rel. 16, (0 0 4)
- 52.10°, rel. 21, (4 2 2)
- 54.73°, rel. 20, (2 2 4)